(1)
ZrTi5Al3: simulated powder XRD pattern (a wavelength of 1.5418 Å), based on DFT lattice parameters and positions (PBE).
Peak positions follow from Bragg's law for the DFT cell and can differ from measured ones.

Lattice parameters (Å, degrees): 7.9850 7.9850 5.6211 90.00 90.00 120.00
Space group P6_3/mcm (No. 193)
One atom of each set of equivalent atoms:
Zr: 0.0000 0.0000 0.0000 (multiplicity 2)
Ti: 0.0000 0.3361 0.2500 (multiplicity 6)
Ti: 0.3333 0.6667 0.0000 (multiplicity 4)
Al: 0.0000 0.3376 0.7500 (multiplicity 6)

Principal peaks in the range 10 to 90 degrees two-theta, by angle:
| d (Å) | 2theta | intensity | h k l |
| --- | --- | --- | --- |
| 6.915 | 12.80 | 15 | 1 0 0 |
| 3.993 | 22.27 | 15 | 1 1 0 |
| 3.255 | 27.40 | 9 | 1 1 1 |
| 2.305 | 39.08 | 95 | 3 0 0 |
| 2.298 | 39.20 | 100 | 1 1 2 |
| 1.628 | 56.55 | 32 | 2 2 2 |
| 1.405 | 66.54 | 6 | 0 0 4 |
| 1.330 | 70.85 | 45 | 3 3 0 |
| 1.200 | 79.96 | 20 | 3 0 4 |
| 1.153 | 83.96 | 9 | 6 0 0 |

***

(2)
Al2Tl: simulated powder XRD pattern (a wavelength of 1.5418 Å), based on DFT lattice parameters and positions (PBE).
Peak positions follow from Bragg's law for the DFT cell and can differ from measured ones.

Lattice parameters (Å, degrees): 5.8227 5.8227 8.9818 90.00 90.00 120.00
Space group P6_3/mmc (No. 194)
One atom of each set of equivalent atoms:
Al: 0.0000 0.0000 0.0000 (multiplicity 2)
Al: 0.1704 0.3409 0.2500 (multiplicity 6)
Tl: 0.3333 0.6667 0.5652 (multiplicity 4)

Principal peaks in the range 10 to 90 degrees two-theta, by angle:
| d (Å) | 2theta | intensity | h k l |
| --- | --- | --- | --- |
| 5.043 | 17.59 | 54 | 1 0 0 |
| 4.491 | 19.77 | 25 | 0 0 2 |
| 4.397 | 20.20 | 39 | 1 0 1 |
| 3.354 | 26.58 | 23 | 1 0 2 |
| 2.911 | 30.71 | 90 | 1 1 0 |
| 2.574 | 34.85 | 100 | 1 0 3 |
| 2.443 | 36.79 | 75 | 1 1 2 |
| 2.427 | 37.03 | 30 | 2 0 1 |
| 1.929 | 47.12 | 23 | 2 0 3 |
| 1.608 | 57.30 | 48 | 2 1 3 |

***

(3)
Al2Tl: simulated powder XRD pattern (a wavelength of 1.5418 Å), based on DFT lattice parameters and positions (PBE).
Peak positions follow from Bragg's law for the DFT cell and can differ from measured ones.

Lattice parameters (Å, degrees): 11.190 3.150 7.622 90.00 93.63 90.00
Space group Cm (No. 8)
One atom of each set of equivalent atoms:
Al: 0.000 0.000 0.000 (multiplicity 2)
Al: 0.100 0.500 0.267 (multiplicity 2)
Al: 0.230 0.500 0.977 (multiplicity 2)
Al: 0.363 0.000 0.760 (multiplicity 2)
Tl: 0.097 0.000 0.622 (multiplicity 2)
Tl: 0.343 0.000 0.350 (multiplicity 2)

Principal peaks in the range 10 to 90 degrees two-theta, by angle:
| d (Å) | 2theta | intensity | h k l |
| --- | --- | --- | --- |
| 7.607 | 11.63 | 86 | 0 0 1 |
| 4.644 | 19.11 | 39 | 2 0 -1 |
| 4.371 | 20.32 | 38 | 2 0 1 |
| 3.240 | 27.53 | 44 | 2 0 -2 |
| 3.055 | 29.24 | 40 | 2 0 2 |
| 3.032 | 29.46 | 33 | 1 1 0 |
| 2.797 | 31.99 | 100 | 1 1 1 |
| 2.405 | 37.40 | 27 | 3 1 0 |
| 2.391 | 37.62 | 33 | 1 1 -2 |
| 2.320 | 38.81 | 34 | 3 1 -1 |